(1)
Diffraction record for RbAcTc2O7. The X-ray diffraction stick pattern is calculated, not measured: it uses a DFT-relaxed cell (PBE, Alexandria) and CuKα.
Peak positions follow from Bragg's law for the DFT cell and can differ from measured ones.

Most intense lines, 5 to 70 degrees two-theta, in order of falling intensity:
| d_spacing | I_rel | index |
| --- | --- | --- |
| 3.187 | 100 | 1 0 2 |
| 10.841 | 92 | 0 0 1 |
| 2.786 | 40 | 1 1 0 |
| 1.676 | 31 | 2 1 2 |
| 1.970 | 23 | 2 0 0 |
| 2.663 | 18 | 1 0 3 |
| 1.943 | 17 | 1 1 4 |
| 2.233 | 12 | 1 0 4 |
| 2.478 | 9 | 1 1 2 |
| 2.710 | 9 | 0 0 4 |

Cell and atoms:
```
data_RbAcTc2O7
_symmetry_space_group_name_H-M 'P 4/m m m'
_symmetry_Int_Tables_number 123
_symmetry_space_group_name_Hall '-P 4 2'
_cell_length_a 3.9403
_cell_length_b 3.9403
_cell_length_c 10.8407
_cell_angle_alpha 90.00
_cell_angle_beta 90.00
_cell_angle_gamma 90.00
loop_
_atom_site_label
_atom_site_type_symbol
_atom_site_fract_x
_atom_site_fract_y
_atom_site_fract_z
Rb1 Rb 0.0000 0.0000 0.0000
Ac1 Ac 0.0000 0.0000 0.5000
Tc1 Tc 0.5000 0.5000 0.2988
O1 O 0.0000 0.5000 0.3282
O2 O 0.5000 0.5000 0.1349
O3 O 0.5000 0.5000 0.5000
```

(2)
Diffraction record for Rb2AcTi2O7. The X-ray diffraction stick pattern is calculated, not measured: it uses a DFT-relaxed cell (PBE, Alexandria) and CuKα.
Peak positions follow from Bragg's law for the DFT cell and can differ from measured ones.

Most intense lines, 5 to 70 degrees two-theta, in order of falling intensity:
| d_spacing | I_rel | index |
| --- | --- | --- |
| 3.001 | 100 | 1 0 5 |
| 11.381 | 70 | 0 0 2 |
| 2.822 | 49 | 1 1 0 |
| 1.661 | 35 | 2 1 5 |
| 2.264 | 30 | 1 1 6 |
| 1.995 | 28 | 2 0 0 |
| 3.930 | 28 | 1 0 1 |
| 1.772 | 21 | 1 1 10 |
| 1.500 | 15 | 2 0 10 |
| 2.276 | 14 | 0 0 10 |

Cell and atoms:
```
data_Rb2AcTi2O7
_symmetry_space_group_name_H-M 'I 4/m m m'
_symmetry_Int_Tables_number 139
_symmetry_space_group_name_Hall '-I 4 2'
_cell_length_a 3.9903
_cell_length_b 3.9903
_cell_length_c 22.7630
_cell_angle_alpha 90.00
_cell_angle_beta 90.00
_cell_angle_gamma 90.00
loop_
_atom_site_label
_atom_site_type_symbol
_atom_site_fract_x
_atom_site_fract_y
_atom_site_fract_z
Rb1 Rb 0.0000 0.0000 0.1900
Ac1 Ac 0.0000 0.0000 0.0000
Ti1 Ti 0.0000 0.0000 0.4046
O1 O 0.0000 0.0000 0.3265
O2 O 0.0000 0.0000 0.5000
O3 O 0.0000 0.5000 0.0816
```